# 1
The following is a simulated X-ray powder pattern of NaP3Ir3. It was derived from a structure optimized by DFT (GGA-PBE), using Cu Kα.

The 6 most intense peaks (2θ = 5–70°), by angle:
- 2θ = 11.53°, d = 7.677 Å, I = 838
- 2θ = 20.03°, d = 4.432 Å, I = 711
- 2θ = 23.17°, d = 3.839 Å, I = 465
- 2θ = 30.51°, d = 2.930 Å, I = 1000
- 2θ = 38.66°, d = 2.329 Å, I = 901
- 2θ = 48.71°, d = 1.869 Å, I = 591

Crystal structure
a b c (Å): 8.8647 8.8647 3.9048
angles (deg): 90.00 90.00 120.00
Sites, in units of the cell vectors:
Na (0.3333, 0.6667, 0.2500)
Na (0.6667, 0.3333, 0.7500)
P (0.0915, 0.3779, 0.7500)
P (0.2864, 0.9085, 0.7500)
P (0.3779, 0.2864, 0.2500)
P (0.6221, 0.7136, 0.7500)
P (0.7136, 0.0915, 0.2500)
P (0.9085, 0.6221, 0.2500)
Ir (0.0514, 0.6289, 0.7500)
Ir (0.3711, 0.4224, 0.7500)
Ir (0.4224, 0.0514, 0.2500)
Ir (0.5776, 0.9486, 0.7500)
Ir (0.6289, 0.5776, 0.2500)
Ir (0.9486, 0.3711, 0.2500)

***

# 2
The following is a simulated X-ray powder pattern of AcTb2Pr2Nd. It was derived from a structure optimized by DFT (GGA-PBE), using Cu Kα.

The 6 most intense peaks (2θ = 5–70°), by angle:
- 2θ = 30.22°, d = 2.958 Å, I = 982
- 2θ = 30.64°, d = 2.918 Å, I = 1000
- 2θ = 43.57°, d = 2.077 Å, I = 364
- 2θ = 54.17°, d = 1.693 Å, I = 255
- 2θ = 54.42°, d = 1.686 Å, I = 134
- 2θ = 59.80°, d = 1.547 Å, I = 302

Crystal structure
a b c (Å): 7.2960 5.8456 10.0886
angles (deg): 90.00 90.00 90.00
Sites, in units of the cell vectors:
Ac (0.0000, 0.0000, 0.0000)
Ac (0.5000, 0.0000, 0.0000)
Tb (0.2500, 0.0000, 0.3356)
Tb (0.2500, 0.5000, 0.8305)
Tb (0.7500, 0.0000, 0.6644)
Tb (0.7500, 0.5000, 0.1695)
Pr (0.0000, 0.5000, 0.5000)
Pr (0.2500, 0.0000, 0.6642)
Pr (0.5000, 0.5000, 0.5000)
Pr (0.7500, 0.0000, 0.3358)
Nd (0.2500, 0.5000, 0.1697)
Nd (0.7500, 0.5000, 0.8303)

***

# 3
The following is a simulated X-ray powder pattern of TbInPt5. It was derived from a structure optimized by DFT (GGA-PBE), using Cu Kα.

The 6 most intense peaks (2θ = 5–70°), by angle:
- 2θ = 35.84°, d = 2.505 Å, I = 1000
- 2θ = 40.49°, d = 2.228 Å, I = 314
- 2θ = 41.72°, d = 2.165 Å, I = 310
- 2θ = 41.87°, d = 2.157 Å, I = 373
- 2θ = 42.97°, d = 2.105 Å, I = 277
- 2θ = 43.16°, d = 2.096 Å, I = 290

Crystal structure
a b c (Å): 8.8297 5.3061 11.1244
angles (deg): 90.00 90.00 90.00
Sites, in units of the cell vectors:
Tb (0.2497, 0.2500, 0.0676)
Tb (0.2503, 0.7500, 0.5676)
Tb (0.7497, 0.2500, 0.4324)
Tb (0.7503, 0.7500, 0.9324)
In (0.1483, 0.2500, 0.3626)
In (0.3517, 0.7500, 0.8626)
In (0.6483, 0.2500, 0.1374)
In (0.8517, 0.7500, 0.6374)
Pt (0.0283, 0.2500, 0.5814)
Pt (0.0632, 0.5057, 0.7968)
Pt (0.0632, 0.9943, 0.7968)
Pt (0.0837, 0.7500, 0.0098)
Pt (0.1940, 0.7500, 0.2360)
Pt (0.3060, 0.2500, 0.7360)
Pt (0.4163, 0.2500, 0.5098)
Pt (0.4368, 0.0057, 0.2968)
Pt (0.4368, 0.4943, 0.2968)
Pt (0.4717, 0.7500, 0.0814)
Pt (0.5283, 0.2500, 0.9186)
Pt (0.5632, 0.5057, 0.7032)
Pt (0.5632, 0.9943, 0.7032)
Pt (0.5837, 0.7500, 0.4902)
Pt (0.6940, 0.7500, 0.2640)
Pt (0.8060, 0.2500, 0.7640)
Pt (0.9163, 0.2500, 0.9902)
Pt (0.9368, 0.0057, 0.2032)
Pt (0.9368, 0.4943, 0.2032)
Pt (0.9717, 0.7500, 0.4186)

***

# 4
The following is a simulated X-ray powder pattern of PmTmNi. It was derived from a structure optimized by DFT (GGA-PBE), using Cu Kα.

The 6 most intense peaks (2θ = 5–70°), by angle:
- 2θ = 26.91°, d = 3.314 Å, I = 410
- 2θ = 33.95°, d = 2.640 Å, I = 1000
- 2θ = 36.96°, d = 2.432 Å, I = 592
- 2θ = 45.17°, d = 2.007 Å, I = 264
- 2θ = 47.58°, d = 1.911 Å, I = 241
- 2θ = 64.69°, d = 1.441 Å, I = 303

Crystal structure
a b c (Å): 12.3583 3.4395 3.4395
angles (deg): 89.99 90.00 90.00
Sites, in units of the cell vectors:
Pm (0.1362, 0.0000, 0.0000)
Pm (0.8638, 0.0000, 0.0000)
Tm (0.3733, 0.5014, 0.5014)
Tm (0.6267, 0.5014, 0.5014)
Ni (0.0000, 0.4998, 0.4998)
Ni (0.5000, 0.0017, 0.0017)